Starting from a GGA-PBE-relaxed structure, the powder XRD pattern of La3Os was calculated for Cu Kα (λ = 1.5418 Å).
Kinematic intensities with the Lorentz-polarization factor, no thermal factor.

Most intense lines, 15 to 90 degrees two-theta, by intensity:
Position (°2θ), d_spacing, Rel. int., hkl
29.71, 3.007, 1000, 0 3 1
30.83, 2.900, 888, 1 1 2
32.10, 2.789, 764, 1 3 1
32.68, 2.740, 735, 2 2 1
35.83, 2.506, 522, 2 3 0
37.33, 2.409, 423, 2 1 2
46.51, 1.952, 382, 1 2 3
19.94, 4.453, 352, 1 1 1
28.77, 3.103, 350, 2 1 1
17.88, 4.960, 327, 1 0 1

Structural model:
Cell lengths 7.4914, 10.1166, 6.6181 Å; angles 90.00, 90.00, 90.00 degrees
Space group Pnma (No. 62)
Inequivalent atoms, fractional coordinates:
La 0.0445 0.2500 0.1516
La 0.1703 0.0702 0.6739
Os 0.1190 0.7500 0.4471

***

Starting from a GGA-PBE-relaxed structure, the powder XRD pattern of CeMg6W was calculated for Cu Kα (λ = 1.5418 Å).
Kinematic intensities with the Lorentz-polarization factor, no thermal factor.

Most intense lines, 15 to 90 degrees two-theta, by intensity:
Position (°2θ), d_spacing, Rel. int., hkl
15.90, 5.573, 1000, 0 1 1
36.26, 2.477, 406, 1 0 4
15.38, 5.760, 394, 0 0 2
37.19, 2.417, 376, 1 2 2
32.12, 2.787, 334, 0 2 2
32.89, 2.723, 231, 1 1 3
37.00, 2.430, 213, 2 0 0
40.50, 2.227, 199, 2 1 1
46.45, 1.955, 197, 1 2 4
49.79, 1.831, 194, 2 2 2

Structural model:
Cell lengths 4.8597, 6.3685, 11.5191 Å; angles 90.00, 90.00, 90.00 degrees
Space group Amm2 (No. 38)
Inequivalent atoms, fractional coordinates:
Ce 0.0000 0.0000 0.0000
Mg 0.0000 0.0000 0.5365
Mg 0.0000 0.2437 0.7726
Mg 0.5000 0.0000 0.3740
Mg 0.5000 0.2463 0.6266
W 0.5000 0.0000 0.8986

***

Starting from a GGA-PBE-relaxed structure, the powder XRD pattern of CaCO3 was calculated for Cu Kα (λ = 1.5418 Å).
Kinematic intensities with the Lorentz-polarization factor, no thermal factor.

Most intense lines, 15 to 90 degrees two-theta, by intensity:
Position (°2θ), d_spacing, Rel. int., hkl
29.60, 3.018, 1000, 0 2 2
30.54, 2.927, 648, 0 2 -3
29.15, 3.064, 483, 2 0 -1
45.75, 1.983, 211, 2 1 -5
47.85, 1.901, 188, 1 -1 6
36.58, 2.457, 184, 2 -2 2
46.08, 1.970, 183, 2 2 1
29.74, 3.004, 179, 0 1 -4
43.98, 2.059, 161, -1 2 5
43.80, 2.067, 153, 1 3 0

Structural model:
Cell lengths 6.3936, 7.6970, 12.7417 Å; angles 93.77, 98.92, 106.22 degrees
Space group P-1 (No. 2)
Inequivalent atoms, fractional coordinates:
Ca 0.0126 0.2511 0.0215
Ca 0.1637 0.8503 0.4426
Ca 0.2728 0.3799 0.3814
Ca 0.4104 0.4287 0.8277
Ca 0.4732 0.0182 0.2125
C 0.0019 0.9797 0.2107
C 0.0500 0.5289 0.2006
C 0.2834 0.6609 0.6156
C 0.3763 0.1783 0.5990
C 0.4419 0.7628 0.9939
O 0.0509 0.6205 0.2882
O 0.0776 0.9953 0.1199
O 0.0815 0.4637 0.8881
O 0.1028 0.7039 0.6075
O 0.1489 0.0401 0.2981
O 0.1732 0.4192 0.1963
O 0.2026 0.0947 0.7878
O 0.2030 0.1637 0.5261
O 0.3515 0.6180 0.5286
O 0.3539 0.8443 0.9223
O 0.3640 0.7460 0.0832
O 0.4048 0.3116 0.0215
O 0.4125 0.6726 0.7076
O 0.4580 0.0403 0.6024
O 0.4691 0.3228 0.6641

***

Starting from a GGA-PBE-relaxed structure, the powder XRD pattern of Co3Cu was calculated for Cu Kα (λ = 1.5418 Å).
Kinematic intensities with the Lorentz-polarization factor, no thermal factor.

Most intense lines, 15 to 90 degrees two-theta, by intensity:
Position (°2θ), d_spacing, Rel. int., hkl
44.26, 2.046, 1000, 1 1 2
51.57, 1.772, 463, 2 0 0
75.94, 1.253, 264, 2 2 0

Structural model:
Cell lengths 3.5422, 3.5422, 7.0965 Å; angles 90.00, 90.00, 90.00 degrees
Space group I4/mmm (No. 139)
Inequivalent atoms, fractional coordinates:
Co 0.0000 0.0000 0.0000
Co 0.0000 0.5000 0.2500
Cu 0.0000 0.0000 0.5000